The following is a theoretical powder XRD pattern of Ho2CuGe4O12. It was derived from a cell relaxed with GGA-PBE, using Cu Kα, 1.54184 Å.
Intensities are scaled so that the largest is 100.

Crystal structure
```
data_Ho2CuGe4O12
_cell_length_a 4.9927
_cell_length_b 7.2596
_cell_length_c 7.9845
_cell_angle_alpha 66.40
_cell_angle_beta 86.94
_cell_angle_gamma 76.85
_space_group_name_H-M_alt 'P -1'
_space_group_IT_number 2
_space_group_name_Hall '-P 1'
loop_
_atom_site_label
_atom_site_type_symbol
_atom_site_fract_x
_atom_site_fract_y
_atom_site_fract_z
_atom_site_occupancy
Ho1 Ho 0.0458 0.2696 0.4512 1
Cu1 Cu 0.0000 0.5000 0.0000 1
Ge1 Ge 0.4177 0.8836 0.7954 1
Ge2 Ge 0.4603 0.6676 0.2255 1
O1 O 0.2057 0.9248 0.6108 1
O2 O 0.2248 0.5667 0.3892 1
O3 O 0.2477 0.5081 0.7963 1
O4 O 0.2572 0.2767 0.1943 1
O5 O 0.2680 0.8123 0.0123 1
O6 O 0.4156 0.1580 0.7054 1
```

Main lines, most intense first (10 to 80 degrees two-theta):
| 2theta | I_rel | index |
| --- | --- | --- |
| 27.7 | 100 | 1 2 1 |
| 31.2 | 60 | 1 0 2 |
| 25.2 | 47 | -1 1 1 |
| 30.0 | 43 | 1 0 -2 |
| 12.1 | 41 | 0 0 1 |
| 21.5 | 35 | 1 0 -1 |
| 34.5 | 31 | 0 2 -1 |
| 22.4 | 23 | 1 0 1 |
| 34.6 | 22 | -1 2 1 |
| 36.2 | 21 | 0 2 3 |
| 49.0 | 20 | 2 2 3 |
| 52.2 | 18 | -2 1 3 |